# 1
This entry pairs a crystal structure of Ti4NbBiN with its computed powder diffraction line list. Radiation: Cu Kα, 1.54184 Å. Structure: a crystal structure in Alexandria, relaxed with GGA-PBE.

```
Ti4NbBiN
1.0
2.933 -7.133 0.000
2.933 7.133 0.000
0.000 0.000 5.852
Ti Nb Bi N
8 2 2 2
Cartesian
1.466 3.566 0.000
1.466 3.566 2.926
2.933 5.667 4.389
2.933 1.546 4.389
1.466 -3.566 0.000
1.466 -3.566 2.926
2.933 -1.546 1.463
2.933 -5.667 1.463
2.933 5.671 1.463
2.933 -5.671 4.389
2.933 1.359 1.463
2.933 -1.359 4.389
2.933 3.613 4.389
2.933 -3.613 1.463
```

Most intense lines, 2θ = 10–80°, most intense first:
Position (°2θ), I_rel
39.8, 100
28.6, 73
30.5, 66
43.7, 61
33.1, 45
59.2, 35
37.8, 34
53.1, 27
22.3, 27
25.0, 23



# 2
This entry pairs a crystal structure of YbCu5Sn with its computed powder diffraction line list. Radiation: Cu Kα, 1.54184 Å. Structure: a crystal structure in Alexandria, relaxed with GGA-PBE.

```
YbCu5Sn
1.0
8.324 0.000 0.000
0.000 5.066 0.000
0.000 0.000 10.496
Yb Cu Sn
4 20 4
Cartesian
2.041 1.266 0.629
2.120 3.799 5.877
6.203 1.266 4.618
6.282 3.799 9.866
0.512 3.799 1.076
0.571 0.003 3.274
0.571 2.530 3.274
0.699 1.266 5.430
1.518 1.266 7.823
2.644 3.799 2.576
3.463 3.799 0.182
3.590 2.536 8.521
3.590 5.063 8.521
3.650 1.266 6.323
4.673 3.799 4.172
4.733 0.003 1.974
4.733 2.530 1.974
4.861 1.266 10.313
5.680 1.266 7.920
6.805 3.799 2.672
7.625 3.799 5.066
7.752 2.536 7.222
7.752 5.063 7.222
7.812 1.266 9.420
1.160 3.799 9.018
3.002 1.266 3.770
5.321 3.799 6.725
7.164 1.266 1.478
```

Most intense lines, 2θ = 10–80°, most intense first:
Position (°2θ), I_rel
38.0, 100
44.6, 37
35.9, 28
45.5, 23
35.4, 23
65.3, 20
42.7, 20
70.0, 20
31.1, 19
32.9, 16



# 3
This entry pairs a crystal structure of Nd3Ti4O12 with its computed powder diffraction line list. Radiation: Cu Kα, 1.54184 Å. Structure: a crystal structure in Alexandria, relaxed with GGA-PBE.

```
Nd3Ti4O12
1.0
7.767 0.000 0.000
0.000 3.887 3.919
0.000 -3.887 3.919
Nd Ti O
3 4 12
Cartesian
0.000 0.000 0.000
0.000 0.000 3.897
3.883 0.000 7.619
1.987 -1.969 5.780
1.987 1.969 5.780
5.780 -1.969 5.780
5.780 1.969 5.780
0.000 -1.513 1.884
0.000 1.513 1.884
1.551 0.000 5.940
1.773 -1.824 3.819
1.773 1.824 3.819
2.240 0.000 1.517
3.883 -1.643 5.885
3.883 1.643 5.885
5.527 0.000 1.517
5.994 -1.824 3.819
5.994 1.824 3.819
6.215 0.000 5.940
```

Most intense lines, 2θ = 10–80°, most intense first:
Position (°2θ), I_rel
32.5, 100
32.6, 55
58.1, 43
46.8, 35
40.1, 31
19.7, 26
11.4, 23
16.1, 22
57.8, 21
67.9, 19



# 4
This entry pairs a crystal structure of MnGe2Te2Pd7 with its computed powder diffraction line list. Radiation: Cu Kα, 1.54184 Å. Structure: a crystal structure in Alexandria, relaxed with GGA-PBE.

```
MnGe2Te2Pd7
1.0
2.790 -2.790 0.000
2.790 2.790 0.000
-2.677 0.000 14.847
Mn Ge Te Pd
1 2 2 7
Cartesian
0.000 0.000 0.000
0.111 0.000 11.345
2.792 0.000 3.502
0.036 0.000 6.140
2.867 0.000 8.707
1.395 1.394 1.989
0.077 0.000 8.891
1.508 1.394 12.858
2.790 0.000 0.000
1.395 -1.394 1.989
2.826 0.000 5.956
1.508 -1.394 12.858
```

Most intense lines, 2θ = 10–80°, most intense first:
Position (°2θ), I_rel
46.0, 100
32.7, 87
44.6, 57
37.0, 39
24.0, 36
67.1, 31
44.4, 30
44.7, 27
22.7, 24
11.9, 23



# 5
This entry pairs a crystal structure of Y6Tm3Th2 with its computed powder diffraction line list. Radiation: Cu Kα, 1.54184 Å. Structure: a crystal structure in Alexandria, relaxed with GGA-PBE.

```
Y6Tm3Th2
1.0
5.917 0.000 0.000
0.000 12.505 0.000
0.000 0.000 10.180
Y Tm Th
12 6 4
Cartesian
1.127 2.502 0.000
1.272 2.754 3.456
1.272 2.754 6.723
1.687 9.007 1.634
1.687 9.007 8.546
1.832 8.754 5.090
4.085 3.751 5.090
4.230 3.498 1.634
4.230 3.498 8.546
4.646 9.751 3.456
4.646 9.751 6.723
4.791 10.003 0.000
0.000 0.000 1.826
0.000 0.000 8.354
0.000 6.253 5.090
2.959 0.000 0.000
2.959 6.253 3.264
2.959 6.253 6.915
1.415 11.837 5.090
1.544 5.584 0.000
4.374 6.921 0.000
4.502 0.669 5.090
```

Most intense lines, 2θ = 10–80°, most intense first:
Position (°2θ), I_rel
32.3, 100
31.2, 54
33.7, 43
28.6, 34
27.6, 33
27.2, 28
24.1, 27
34.1, 27
55.2, 27
37.0, 25



# 6
This entry pairs a crystal structure of Pm4InTe2As with its computed powder diffraction line list. Radiation: Cu Kα, 1.54184 Å. Structure: a crystal structure in Alexandria, relaxed with GGA-PBE.

```
Pm4InTe2As
1.0
7.711 0.000 0.000
0.000 4.331 0.000
-2.461 0.000 7.327
Pm In Te As
4 1 2 1
Cartesian
1.246 0.000 1.666
0.019 2.166 5.560
5.232 2.166 1.767
4.004 0.000 5.661
3.856 0.000 0.000
-1.230 0.000 3.663
2.625 2.166 3.663
0.000 2.166 0.000
```

Most intense lines, 2θ = 10–80°, most intense first:
Position (°2θ), I_rel
28.6, 100
40.8, 76
28.5, 51
51.3, 20
40.0, 19
41.7, 18
66.9, 17
75.5, 12
59.2, 12
49.9, 10



# 7
This entry pairs a crystal structure of Ca7Ac with its computed powder diffraction line list. Radiation: Cu Kα, 1.54184 Å. Structure: a crystal structure in Alexandria, relaxed with GGA-PBE.

```
Ca7Ac
1.0
3.806 0.000 0.000
0.000 12.213 0.000
0.000 0.000 14.604
Ca Ac
14 2
Cartesian
0.000 0.000 0.000
0.000 0.000 3.727
0.000 0.000 10.876
0.000 3.203 5.433
0.000 3.203 9.170
0.000 9.010 5.433
0.000 9.010 9.170
1.903 2.903 1.869
1.903 2.903 12.735
1.903 6.107 3.575
1.903 6.107 7.302
1.903 6.107 11.029
1.903 9.310 1.869
1.903 9.310 12.735
0.000 6.107 0.000
1.903 0.000 7.302
```

Most intense lines, 2θ = 10–80°, most intense first:
Position (°2θ), I_rel
28.3, 100
28.5, 99
27.4, 52
29.8, 49
29.2, 42
42.2, 36
12.1, 34
18.9, 30
34.5, 29
56.6, 27



# 8
This entry pairs a crystal structure of Ba2CaTl with its computed powder diffraction line list. Radiation: Cu Kα, 1.54184 Å. Structure: a crystal structure in Alexandria, relaxed with GGA-PBE.

```
Ba2CaTl
1.0
-6.985 6.985 3.773
6.985 -6.985 3.773
6.985 6.985 -3.773
Ba Ca Tl
8 4 4
Cartesian
5.138 1.192 0.043
6.307 5.099 -1.992
5.793 -1.847 3.731
0.678 1.887 1.781
1.192 8.833 -0.043
1.887 -0.678 5.766
5.099 7.663 1.992
1.847 5.793 3.816
9.223 3.039 0.034
3.039 4.748 -0.034
3.947 2.237 3.739
-2.237 3.947 3.807
2.833 -1.088 1.944
4.152 8.074 -1.830
5.897 4.152 1.830
1.088 2.833 5.603
```

Most intense lines, 2θ = 10–80°, most intense first:
Position (°2θ), I_rel
31.2, 100
28.6, 76
34.2, 67
25.3, 64
25.8, 46
18.4, 46
28.9, 40
20.1, 29
44.8, 24
54.3, 24



# 9
This entry pairs a crystal structure of NaIn10Ga2 with its computed powder diffraction line list. Radiation: Cu Kα, 1.54184 Å. Structure: a crystal structure in Alexandria, relaxed with GGA-PBE.

```
NaIn10Ga2
1.0
0.000 7.456 7.658
3.103 0.000 7.658
3.103 7.456 0.000
Na In Ga
1 10 2
Cartesian
0.000 0.000 0.000
1.551 3.728 0.000
3.103 4.918 2.771
3.103 5.906 5.969
3.103 9.994 2.771
3.103 9.006 5.969
1.551 3.728 7.658
3.103 5.906 9.348
3.103 4.918 12.545
3.103 9.006 9.348
3.103 9.994 12.545
1.551 0.000 3.829
1.551 7.456 3.829
```

Most intense lines, 2θ = 10–80°, most intense first:
Position (°2θ), I_rel
37.3, 100
33.4, 81
33.5, 76
37.7, 76
33.2, 75
33.9, 56
16.5, 55
28.9, 51
37.4, 48
38.1, 42



# 10
This entry pairs a crystal structure of LiB4Ir4 with its computed powder diffraction line list. Radiation: Cu Kα, 1.54184 Å. Structure: a crystal structure in Alexandria, relaxed with GGA-PBE.

```
LiB4Ir4
1.0
0.000 4.967 5.523
3.536 0.000 5.523
3.536 4.967 0.000
Li B Ir
2 8 8
Cartesian
0.884 1.242 1.381
6.189 8.692 9.665
2.706 2.855 1.227
2.599 4.596 1.227
4.367 5.339 3.989
4.474 7.079 3.989
2.599 2.855 7.057
2.706 4.596 7.057
4.474 5.339 9.818
4.367 7.079 9.818
4.281 3.666 2.716
6.049 6.268 5.477
4.281 3.784 5.568
1.024 3.784 2.716
6.049 6.150 8.329
2.792 6.150 5.477
1.024 3.666 5.568
2.792 6.268 8.329
```

Most intense lines, 2θ = 10–80°, most intense first:
Position (°2θ), I_rel
31.0, 100
45.5, 78
32.4, 45
36.2, 36
49.4, 32
71.6, 18
61.9, 15
76.5, 15
74.3, 15
51.7, 12



# 11
This entry pairs a crystal structure of TbTmSiPt with its computed powder diffraction line list. Radiation: Cu Kα, 1.54184 Å. Structure: a crystal structure in Alexandria, relaxed with GGA-PBE.

```
TbTmSiPt
1.0
4.166 0.000 0.000
0.000 3.974 0.000
0.000 0.000 10.653
Tb Tm Si Pt
2 2 2 2
Cartesian
0.000 0.000 0.000
0.000 1.987 5.326
2.083 0.000 7.645
2.083 1.987 2.318
0.000 0.000 2.991
0.000 1.987 8.317
2.083 0.000 4.633
2.083 1.987 9.959
```

Most intense lines, 2θ = 10–80°, most intense first:
Position (°2θ), I_rel
32.2, 100
40.4, 52
33.9, 39
33.7, 25
43.4, 23
40.2, 22
45.7, 20
56.2, 19
16.6, 16
27.2, 15



# 12
This entry pairs a crystal structure of Na2AcAu2 with its computed powder diffraction line list. Radiation: Cu Kα, 1.54184 Å. Structure: a crystal structure in Alexandria, relaxed with GGA-PBE.

```
Na2AcAu2
1.0
4.670 0.000 0.000
-2.335 4.044 0.000
0.000 0.000 7.997
Na Ac Au
2 1 2
Cartesian
0.000 2.696 0.940
2.335 1.348 7.056
0.000 0.000 3.998
0.000 2.696 5.720
2.335 1.348 2.277
```

Most intense lines, 2θ = 10–80°, most intense first:
Position (°2θ), I_rel
24.7, 100
31.5, 80
11.1, 54
38.6, 54
40.5, 42
50.6, 22
65.4, 20
46.3, 19
61.8, 17
71.1, 17



Number 1 is which compound?
Ti4NbBiN